# 1
Starting from a crystal structure in Alexandria, relaxed with PBE, the powder X-ray diffraction pattern of PuGa5Pd7 was computed for Cu Kα.
Kinematic intensities with the Lorentz-polarization factor, no thermal factor.

Crystal structure
```
PuGa5Pd7
1.0
-2.6815 4.5360 4.3759
2.6815 -4.5360 4.3759
2.6815 4.5360 -4.3759
Pu Ga Pd
1 5 7
direct
0.0000 0.0000 0.0000
0.0016 0.4966 0.0128
0.0016 0.9888 0.5050
0.4838 0.4966 0.4950
0.4838 0.9888 0.9872
0.7724 0.2724 0.5000
0.1941 0.4849 0.7091
0.2209 0.7209 0.5000
0.3394 0.3394 0.0000
0.3467 0.0052 0.3414
0.6638 0.0052 0.6586
0.6641 0.6641 0.0000
0.7758 0.4849 0.2909
```

The 8 most intense peaks (2θ = 10–90°), in order of rising 2θ:
- 2θ = 33.42°, intensity 54
- 2θ = 34.04°, intensity 70
- 2θ = 35.01°, intensity 50
- 2θ = 39.02°, intensity 50
- 2θ = 39.41°, intensity 55
- 2θ = 39.95°, intensity 100
- 2θ = 40.43°, intensity 86
- 2θ = 44.37°, intensity 59

***

# 2
Starting from a crystal structure in Alexandria, relaxed with PBE, the powder X-ray diffraction pattern of K3H9Os2 was computed for Cu Kα.
Kinematic intensities with the Lorentz-polarization factor, no thermal factor.

Crystal structure
```
K3H9Os2
1.0
5.8611 0.0000 0.0000
-2.9305 5.0758 0.0000
0.0000 0.0000 14.5187
K H Os
6 18 4
direct
0.0000 0.0000 0.2500
0.0000 0.0000 0.7500
0.3333 0.6667 0.0801
0.3333 0.6667 0.4199
0.6667 0.3333 0.5801
0.6667 0.3333 0.9199
0.0509 0.5254 0.7500
0.2000 0.4001 0.5977
0.2000 0.4001 0.9023
0.2000 0.8000 0.5977
0.2000 0.8000 0.9023
0.4001 0.2000 0.0977
0.4001 0.2000 0.4023
0.4746 0.5254 0.7500
0.4746 0.9491 0.7500
0.5254 0.0509 0.2500
0.5254 0.4746 0.2500
0.5999 0.8000 0.5977
0.5999 0.8000 0.9023
0.8000 0.2000 0.0977
0.8000 0.2000 0.4023
0.8000 0.5999 0.0977
0.8000 0.5999 0.4023
0.9491 0.4746 0.2500
0.3333 0.6667 0.6663
0.3333 0.6667 0.8337
0.6667 0.3333 0.1663
0.6667 0.3333 0.3337
```

The 8 most intense peaks (2θ = 10–90°), in order of rising 2θ:
- 2θ = 12.19°, intensity 23
- 2θ = 17.47°, intensity 33
- 2θ = 18.52°, intensity 100
- 2θ = 30.50°, intensity 60
- 2θ = 35.62°, intensity 34
- 2θ = 35.92°, intensity 19
- 2θ = 47.36°, intensity 18
- 2θ = 47.82°, intensity 17

***

# 3
Starting from a crystal structure in Alexandria, relaxed with PBE, the powder X-ray diffraction pattern of Ac3Hg2Pd2 was computed for Cu Kα.
Kinematic intensities with the Lorentz-polarization factor, no thermal factor.

Crystal structure
```
Ac3Hg2Pd2
1.0
2.1174 -11.8891 0.0000
2.1174 11.8891 0.0000
0.0000 0.0000 4.0855
Ac Hg Pd
3 2 2
direct
0.0000 0.0000 0.0000
0.1708 0.8292 0.0000
0.8292 0.1708 0.0000
0.4162 0.5838 0.5000
0.5838 0.4162 0.5000
0.2880 0.7120 0.5000
0.7120 0.2880 0.5000
```

The 8 most intense peaks (2θ = 10–90°), in order of rising 2θ:
- 2θ = 28.22°, intensity 36
- 2θ = 30.64°, intensity 100
- 2θ = 31.45°, intensity 80
- 2θ = 33.83°, intensity 48
- 2θ = 42.70°, intensity 24
- 2θ = 44.34°, intensity 22
- 2θ = 53.99°, intensity 37
- 2θ = 56.92°, intensity 22

***

# 4
Starting from a crystal structure in Alexandria, relaxed with PBE, the powder X-ray diffraction pattern of TbTiRe was computed for Cu Kα.
Kinematic intensities with the Lorentz-polarization factor, no thermal factor.

Crystal structure
```
TbTiRe
1.0
6.8451 0.0000 0.0000
0.0000 6.8451 0.0000
0.0000 0.0000 6.1414
Tb Ti Re
4 4 4
direct
0.2412 0.2412 0.0000
0.2588 0.7412 0.2500
0.7412 0.2588 0.7500
0.7588 0.7588 0.5000
0.1975 0.8025 0.7500
0.3025 0.3025 0.5000
0.6975 0.6975 0.0000
0.8025 0.1975 0.2500
0.0492 0.0492 0.5000
0.4508 0.5492 0.7500
0.5492 0.4508 0.2500
0.9508 0.9508 0.0000
```

The 8 most intense peaks (2θ = 10–90°), in order of rising 2θ:
- 2θ = 18.33°, intensity 100
- 2θ = 31.94°, intensity 49
- 2θ = 32.69°, intensity 65
- 2θ = 34.59°, intensity 66
- 2θ = 37.15°, intensity 55
- 2θ = 41.67°, intensity 43
- 2θ = 42.25°, intensity 31
- 2θ = 44.37°, intensity 24

***

# 5
Starting from a crystal structure in Alexandria, relaxed with PBE, the powder X-ray diffraction pattern of Ti3NbSn was computed for Cu Kα.
Kinematic intensities with the Lorentz-polarization factor, no thermal factor.

Crystal structure
```
Ti3NbSn
1.0
4.6885 0.0000 0.0000
0.0000 5.8712 0.0000
0.0000 0.0000 6.7281
Ti Nb Sn
6 2 2
direct
0.2500 0.0357 0.2469
0.2500 0.4643 0.2469
0.2500 0.7500 0.9312
0.7500 0.2500 0.0688
0.7500 0.5357 0.7531
0.7500 0.9643 0.7531
0.2500 0.7500 0.5647
0.7500 0.2500 0.4353
0.2500 0.2500 0.7732
0.7500 0.7500 0.2268
```

The 8 most intense peaks (2θ = 10–90°), in order of rising 2θ:
- 2θ = 23.12°, intensity 18
- 2θ = 30.45°, intensity 22
- 2θ = 36.25°, intensity 94
- 2θ = 38.40°, intensity 47
- 2θ = 38.58°, intensity 100
- 2θ = 43.18°, intensity 26
- 2θ = 59.14°, intensity 21
- 2θ = 76.29°, intensity 17

***

# 6
Starting from a crystal structure in Alexandria, relaxed with PBE, the powder X-ray diffraction pattern of Ta2GeSbS was computed for Cu Kα.
Kinematic intensities with the Lorentz-polarization factor, no thermal factor.

Crystal structure
```
Ta2GeSbS
1.0
4.5755 0.0000 0.0000
0.0000 4.5755 0.0000
0.0000 0.0000 5.3441
Ta Ge Sb S
2 1 1 1
direct
0.0000 0.5000 0.0000
0.5000 0.0000 0.0000
0.0000 0.0000 0.5000
0.5000 0.5000 0.5000
0.5000 0.5000 0.0000
```

The 8 most intense peaks (2θ = 10–90°), in order of rising 2θ:
- 2θ = 16.59°, intensity 17
- 2θ = 32.35°, intensity 100
- 2θ = 33.54°, intensity 29
- 2θ = 39.39°, intensity 37
- 2θ = 52.67°, intensity 32
- 2θ = 59.21°, intensity 18
- 2θ = 67.01°, intensity 25
- 2θ = 67.71°, intensity 15

***

Question: Number 1 is which compound?
Answer: PuGa5Pd7